(1)
Starting from a cell relaxed with PBE, the X-ray powder pattern of TaAlW2 was calculated for λ = 1.5418 Å (Cu Kα).
Neutral-atom scattering factors, no anomalous dispersion.

Largest 8 diffraction maxima, sorted by position, 2θ = 5–70°:
| 2θ (°) | I (rel.) | (hkl) |
| --- | --- | --- |
| 24.11 | 18 | 1 1 1 |
| 27.90 | 9 | 2 0 0 |
| 39.87 | 100 | 2 2 0 |
| 47.14 | 9 | 3 1 1 |
| 49.37 | 3 | 2 2 2 |
| 57.66 | 17 | 4 0 0 |
| 63.40 | 4 | 3 3 1 |
| 65.25 | 3 | 4 2 0 |

Structural model:
abc: 6.395 6.395 6.395
angles: 90.00 90.00 90.00
Space group F-43m (No. 216)
Symmetry-distinct sites (fractional):
Ta1 0.000 0.000 0.000 [4 per cell]
Al1 0.250 0.250 0.250 [4 per cell]
W1 0.000 0.000 0.500 [4 per cell]
W2 0.250 0.250 0.750 [4 per cell]

(2)
Starting from a cell relaxed with PBE, the X-ray powder pattern of Ta2AlW was calculated for λ = 1.5418 Å (Cu Kα).
Neutral-atom scattering factors, no anomalous dispersion.

Largest 8 diffraction maxima, sorted by position, 2θ = 5–70°:
| 2θ (°) | I (rel.) | (hkl) |
| --- | --- | --- |
| 9.93 | 30 | 0 0 1 |
| 19.93 | 8 | 0 0 2 |
| 33.89 | 14 | 1 0 1 |
| 38.26 | 100 | 1 0 2 |
| 40.49 | 21 | 0 0 4 |
| 46.36 | 30 | 1 1 0 |
| 63.22 | 22 | 1 1 4 |
| 67.66 | 10 | 2 0 0 |

Structural model:
abc: 2.770 2.770 8.911
angles: 90.00 90.00 90.00
Space group P4/mmm (No. 123)
Symmetry-distinct sites (fractional):
Ta1 0.000 0.000 0.239 [2 per cell]
Al1 0.500 0.500 0.000 [1 per cell]
W1 0.500 0.500 0.500 [1 per cell]

(3)
Starting from a cell relaxed with PBE, the X-ray powder pattern of TaAlZn was calculated for λ = 1.5418 Å (Cu Kα).
Neutral-atom scattering factors, no anomalous dispersion.

Largest 8 diffraction maxima, sorted by position, 2θ = 5–70°:
| 2θ (°) | I (rel.) | (hkl) |
| --- | --- | --- |
| 21.72 | 47 | 1 0 1 |
| 34.88 | 39 | 0 2 0 |
| 35.50 | 96 | 1 1 2 |
| 41.46 | 44 | 1 2 1 |
| 41.84 | 34 | 0 1 3 |
| 42.14 | 100 | 2 1 1 |
| 62.95 | 18 | 1 3 2 |
| 67.54 | 18 | 2 3 1 |

Structural model:
abc: 4.996 5.145 7.136
angles: 90.00 90.00 90.00
Space group Imma (No. 74)
Symmetry-distinct sites (fractional):
Ta1 0.000 0.250 0.129 [4 per cell]
Al1 0.000 0.000 0.500 [4 per cell]
Zn1 0.250 0.250 0.750 [4 per cell]